1.
Diffraction record for CdSnAs2. The XRD peak list is computed, not measured: it uses a structure optimized by DFT (PBE) and Cu Kα X-rays.
Kinematic intensities with the Lorentz-polarization factor, no thermal factor.

Cell: 4.359 4.359 6.192 Å, 90.00 90.00 90.00°
Space group P-4m2 (No. 115)
Asymmetric unit:
Cd1 0.000 0.000 0.000 x1
Sn1 0.500 0.500 0.500 x1
As1 0.000 0.500 0.248 x2

Top 8 peaks for 15° ≤ 2θ ≤ 90°, in order of falling intensity:
- (1 0 1), 2θ = 24.98°, d 3.564, rel. 1000
- (2 0 0), 2θ = 41.37°, d 2.183, rel. 753
- (2 1 1), 2θ = 48.99°, d 1.859, rel. 320
- (3 1 2), 2θ = 75.50°, d 1.259, rel. 170
- (1 0 3), 2θ = 48.82°, d 1.866, rel. 162
- (2 1 3), 2θ = 65.91°, d 1.417, rel. 130
- (2 0 4), 2θ = 75.30°, d 1.262, rel. 85
- (2 2 0), 2θ = 60.04°, d 1.541, rel. 83



2.
Diffraction record for CdSnAs2. The XRD peak list is computed, not measured: it uses a structure optimized by DFT (PBE) and Cu Kα X-rays.
Kinematic intensities with the Lorentz-polarization factor, no thermal factor.

Cell: 6.221 6.221 12.204 Å, 90.00 90.00 90.00°
Space group I-42d (No. 122)
Asymmetric unit:
Cd1 0.000 0.000 0.000 x4
Sn1 0.000 0.000 0.500 x4
As1 0.247 0.250 0.625 x8

Top 8 peaks for 15° ≤ 2θ ≤ 90°, in order of falling intensity:
- (1 1 2), 2θ = 24.95°, d 3.568, rel. 1000
- (2 0 4), 2θ = 41.46°, d 2.178, rel. 497
- (3 1 2), 2θ = 48.63°, d 1.872, rel. 326
- (2 2 0), 2θ = 41.03°, d 2.200, rel. 256
- (4 2 4), 2θ = 75.04°, d 1.266, rel. 172
- (1 1 6), 2θ = 49.36°, d 1.846, rel. 156
- (3 1 6), 2θ = 66.07°, d 1.414, rel. 129
- (4 0 0), 2θ = 59.43°, d 1.555, rel. 85



3.
Diffraction record for SrCd2As2. The XRD peak list is computed, not measured: it uses a structure optimized by DFT (PBE) and Cu Kα X-rays.
Kinematic intensities with the Lorentz-polarization factor, no thermal factor.

Cell: 4.5259 4.5259 7.4966 Å, 90.00 90.00 120.00°
Space group P-3m1 (No. 164)
Asymmetric unit:
Sr1 0.0000 0.0000 0.0000 x1
Cd1 0.3333 0.6667 0.3675 x2
As1 0.3333 0.6667 0.7504 x2

Top 8 peaks for 15° ≤ 2θ ≤ 90°, in order of falling intensity:
- (1 0 2), 2θ = 33.07°, d 2.709, rel. 1000
- (1 1 0), 2θ = 39.84°, d 2.263, rel. 941
- (0 1 1), 2θ = 25.65°, d 3.473, rel. 753
- (1 0 3), 2θ = 42.92°, d 2.107, rel. 436
- (0 2 2), 2θ = 52.71°, d 1.737, rel. 257
- (1 1 3), 2θ = 54.72°, d 1.677, rel. 237
- (2 1 2), 2θ = 68.05°, d 1.378, rel. 233
- (1 0 0), 2θ = 22.69°, d 3.920, rel. 202